Entry 1:
# HoEr3C8
Theoretical X-ray powder pattern, Cu Kα (λ = 1.5418 Å). Input: a GGA-PBE-relaxed structure.

Main lines, low angle first (10° ≤ 2θ ≤ 80°):
2theta  I (rel.)
26.96  100
28.88  86
29.96  89
35.25  13
36.75  32
40.18  25
48.12  52
50.23  42
53.66  25
55.58  18
60.41  12
78.73  20

```
data_HoEr3C8
_symmetry_space_group_name_H-M 'F m m 2'
_symmetry_Int_Tables_number 42
_symmetry_space_group_name_Hall 'F 2 -2'
_cell_length_a 8.9777
_cell_length_b 9.7814
_cell_length_c 7.9792
_cell_angle_alpha 90.00
_cell_angle_beta 90.00
_cell_angle_gamma 90.00
loop_
_atom_site_label
_atom_site_fract_x
_atom_site_fract_y
_atom_site_fract_z
Ho1 0.0000 0.0000 0.0000
Er1 0.0000 0.0000 0.4868
Er2 0.2500 0.2500 0.2932
C1 0.0000 0.1632 0.2392
C2 0.0000 0.2395 0.1035
C3 0.1619 0.0000 0.7324
C4 0.2488 0.0000 0.3597
```

=====

Entry 2:
# KTeO5
Theoretical X-ray powder pattern, Cu Kα (λ = 1.5418 Å). Input: a GGA-PBE-relaxed structure.

Main lines, low angle first (10° ≤ 2θ ≤ 80°):
2theta  I (rel.)
14.15  100
18.16  30
19.48  100
22.45  42
26.25  29
26.64  86
28.53  36
29.03  47
36.81  18
39.56  24
42.24  34
45.83  19

```
data_KTeO5
_symmetry_space_group_name_H-M 'P 1 2/m 1'
_symmetry_Int_Tables_number 10
_cell_length_a 5.1112
_cell_length_b 3.9600
_cell_length_c 6.5490
_cell_angle_alpha 90.00
_cell_angle_beta 107.15
_cell_angle_gamma 90.00
loop_
_symmetry_equiv_pos_as_xyz
'x,y,z'
'-x,-y,-z'
'-x,y,-z'
'x,-y,z'
loop_
_atom_site_label
_atom_site_fract_x
_atom_site_fract_y
_atom_site_fract_z
K1 0.0000 0.0000 0.0000
Te1 0.5000 0.5000 0.5000
O1 0.1118 0.5000 0.5862
O2 0.3287 0.5000 0.2114
O3 0.5000 0.0000 0.5000
```

=====

Entry 3:
# EuAgHgPb
Theoretical X-ray powder pattern, Cu Kα (λ = 1.5418 Å). Input: a GGA-PBE-relaxed structure.

Main lines, low angle first (10° ≤ 2θ ≤ 80°):
2theta  I (rel.)
20.60  5
33.95  100
40.05  3
48.78  18
53.49  1
60.76  38
64.88  1
71.46  12
75.29  1

```
data_EuAgHgPb
_symmetry_space_group_name_H-M 'F -4 3 m'
_symmetry_Int_Tables_number 216
_symmetry_space_group_name_Hall 'F -4 2 3'
_cell_length_a 7.4676
_cell_length_b 7.4676
_cell_length_c 7.4676
_cell_angle_alpha 90.00
_cell_angle_beta 90.00
_cell_angle_gamma 90.00
loop_
_atom_site_label
_atom_site_fract_x
_atom_site_fract_y
_atom_site_fract_z
Eu1 0.0000 0.0000 0.0000
Ag1 0.2500 0.2500 0.2500
Hg1 0.2500 0.2500 0.7500
Pb1 0.0000 0.0000 0.5000
```